Record 1
The following is a simulated powder XRD pattern of BeCl. It was derived from a structure optimized by DFT (PBE), using Cu Kα (λ = 1.5418 Å).
Lines closer than 0.1° are merged.

Atomic structure:
```
data_BeCl
_chemical_formula_sum 'Be8 Cl8'
_cell_length_a 11.644
_cell_length_b 11.644
_cell_length_c 3.245
_cell_angle_alpha 90.00
_cell_angle_beta 90.00
_cell_angle_gamma 90.00
_symmetry_space_group_name_H-M 'P 4/m'
_symmetry_Int_Tables_number 83
loop_
_symmetry_equiv_pos_as_xyz
'x,y,z'
'-x,-y,-z'
'-y,x,z'
'y,-x,-z'
'-x,-y,z'
'x,y,-z'
'y,-x,z'
'-y,x,-z'
loop_
_atom_site_label
_atom_site_fract_x
_atom_site_fract_y
_atom_site_fract_z
Be1 0.027 0.121 0.000
Be2 0.108 0.538 0.500
Cl1 0.044 0.374 0.500
Cl2 0.207 0.572 0.000
```

The 8 most intense peaks (2θ from 5° to 70°), sorted by position:
two_theta	I_rel	hkl
10.7	100	1 1 0
15.2	14	2 0 0
24.2	27	1 3 0
32.5	34	2 1 1
34.4	14	2 4 0
36.1	11	3 0 1
38.7	14	4 3 0
39.4	12	5 1 0

Record 2
The following is a simulated powder XRD pattern of Na3Cd4In2Hg2. It was derived from a structure optimized by DFT (PBE), using Cu Kα (λ = 1.5418 Å).
Lines closer than 0.1° are merged.

Atomic structure:
```
data_Na3Cd4In2Hg2
_chemical_formula_sum 'Na3 Cd4 In2 Hg2'
_cell_length_a 5.1457
_cell_length_b 5.1457
_cell_length_c 12.6072
_cell_angle_alpha 90.00
_cell_angle_beta 90.00
_cell_angle_gamma 120.00
_symmetry_space_group_name_H-M 'P -3 m 1'
_symmetry_Int_Tables_number 164
_symmetry_space_group_name_Hall '-P 3 2"'
loop_
_atom_site_label
_atom_site_fract_x
_atom_site_fract_y
_atom_site_fract_z
Na1 0.0000 0.0000 0.0000
Na2 0.0000 0.0000 0.2674
Cd1 0.3333 0.6667 0.3703
Cd2 0.3333 0.6667 0.8656
In1 0.3333 0.6667 0.6068
Hg1 0.3333 0.6667 0.1237
```

The 8 most intense peaks (2θ from 5° to 70°), sorted by position:
two_theta	I_rel	hkl
7.0	7	0 0 1
19.9	42	1 0 0
28.3	26	0 0 4
34.9	100	1 1 0
40.5	7	2 0 0
45.5	43	1 1 4
50.1	13	2 0 4
62.5	29	3 0 0